Diffraction record for CrCoBr3. The PXRD pattern is computed, not measured: it uses DFT lattice parameters and positions (GGA-PBE) and λ = 1.5418 Å (Cu Kα).
Peak positions follow from Bragg's law for the DFT cell and can differ from measured ones.

Crystal structure
a b c (Å): 7.0820 7.0820 5.9431
angles (deg): 90.00 90.00 120.00
Sites, in units of the cell vectors:
Cr (0.3333, 0.6667, 0.2500)
Cr (0.6667, 0.3333, 0.7500)
Co (0.0000, 0.0000, 0.0000)
Co (0.0000, 0.0000, 0.5000)
Br (0.1688, 0.3375, 0.7500)
Br (0.1688, 0.8312, 0.7500)
Br (0.3375, 0.1688, 0.2500)
Br (0.6625, 0.8312, 0.7500)
Br (0.8312, 0.1688, 0.2500)
Br (0.8312, 0.6625, 0.2500)

Most intense lines, 2θ = 5–70°, by intensity:
two_theta	I (rel.)	index
32.9	100	2 0 1
42.4	32	2 0 2
14.4	29	1 0 0
51.6	26	2 2 0
55.2	22	2 0 3
62.6	19	0 0 4
30.1	18	0 0 2
60.9	13	2 2 2
29.1	8	2 0 0
39.6	7	1 1 2
68.9	7	4 0 2
38.8	7	2 1 0